The following is a simulated powder X-ray diffraction pattern of InHg4Br. It was derived from DFT lattice parameters and positions (PBE), using Cu Kα, 1.54184 Å.

The 10 most intense peaks (5 to 70 degrees two-theta), sorted by position:
| 2theta | Rel. int. |
| --- | --- |
| 16.49 | 33 |
| 29.11 | 100 |
| 29.31 | 88 |
| 29.83 | 80 |
| 31.61 | 85 |
| 39.13 | 34 |
| 39.33 | 41 |
| 40.59 | 34 |
| 44.30 | 35 |
| 47.64 | 21 |

Cell and atoms:
Cell lengths 5.758, 6.200, 6.607 Å; angles 114.40, 108.96, 100.46 degrees
Fractional coordinates of all 6 atoms:
1 In 0.000 0.000 0.000
2 Hg 0.328 0.343 0.609
3 Hg 0.331 0.881 0.690
4 Hg 0.669 0.119 0.310
5 Hg 0.672 0.657 0.391
6 Br 0.000 0.500 0.000

---

The following is a simulated powder X-ray diffraction pattern of K4CaPt. It was derived from DFT lattice parameters and positions (PBE), using Cu Kα, 1.54184 Å.

The 10 most intense peaks (5 to 70 degrees two-theta), sorted by position:
| 2theta | Rel. int. |
| --- | --- |
| 15.26 | 38 |
| 17.64 | 23 |
| 25.05 | 57 |
| 29.46 | 100 |
| 30.80 | 20 |
| 40.10 | 14 |
| 44.12 | 25 |
| 46.95 | 35 |
| 51.41 | 21 |
| 60.36 | 12 |

Cell and atoms:
Cell lengths 7.110, 7.110, 7.110 Å; angles 60.00, 60.00, 60.00 degrees
Fractional coordinates of all 6 atoms:
1 K 0.122 0.122 0.122
2 K 0.122 0.122 0.633
3 K 0.122 0.633 0.122
4 K 0.633 0.122 0.122
5 Ca 0.500 0.500 0.500
6 Pt 0.750 0.750 0.750

---

The following is a simulated powder X-ray diffraction pattern of RbIn3I8. It was derived from DFT lattice parameters and positions (PBE), using Cu Kα, 1.54184 Å.

The 10 most intense peaks (5 to 70 degrees two-theta), sorted by position:
| 2theta | Rel. int. |
| --- | --- |
| 14.27 | 100 |
| 20.23 | 35 |
| 21.87 | 30 |
| 24.84 | 61 |
| 26.22 | 34 |
| 27.54 | 34 |
| 28.77 | 48 |
| 32.25 | 41 |
| 40.24 | 28 |
| 41.14 | 90 |

Cell and atoms:
Cell lengths 8.780, 8.780, 10.742 Å; angles 90.00, 90.00, 120.00 degrees
Fractional coordinates of all 12 atoms:
1 Rb 0.000 0.000 0.000
2 In 0.000 0.000 0.500
3 In 0.333 0.667 0.810
4 In 0.667 0.333 0.190
5 I 0.162 0.323 0.721
6 I 0.162 0.838 0.721
7 I 0.323 0.162 0.279
8 I 0.333 0.667 0.064
9 I 0.667 0.333 0.936
10 I 0.677 0.838 0.721
11 I 0.838 0.162 0.279
12 I 0.838 0.677 0.279

---

The following is a simulated powder X-ray diffraction pattern of TePt. It was derived from DFT lattice parameters and positions (PBE), using Cu Kα, 1.54184 Å.

The 10 most intense peaks (5 to 70 degrees two-theta), sorted by position:
| 2theta | Rel. int. |
| --- | --- |
| 16.92 | 100 |
| 24.02 | 22 |
| 29.53 | 52 |
| 34.23 | 18 |
| 38.42 | 26 |
| 42.25 | 60 |
| 45.82 | 32 |
| 49.19 | 29 |
| 52.39 | 16 |
| 64.08 | 17 |

Cell and atoms:
Cell lengths 7.409, 7.409, 7.409 Å; angles 90.00, 90.00, 90.00 degrees
Fractional coordinates of all 12 atoms:
1 Te 0.000 0.250 0.500
2 Te 0.000 0.750 0.500
3 Te 0.250 0.500 0.000
4 Te 0.500 0.000 0.250
5 Te 0.500 0.000 0.750
6 Te 0.750 0.500 0.000
7 Pt 0.000 0.500 0.250
8 Pt 0.000 0.500 0.750
9 Pt 0.250 0.000 0.500
10 Pt 0.500 0.250 0.000
11 Pt 0.500 0.750 0.000
12 Pt 0.750 0.000 0.500

---

The following is a simulated powder X-ray diffraction pattern of Pr6AuS4. It was derived from DFT lattice parameters and positions (PBE), using Cu Kα, 1.54184 Å.

The 10 most intense peaks (5 to 70 degrees two-theta), sorted by position:
| 2theta | Rel. int. |
| --- | --- |
| 28.45 | 100 |
| 29.77 | 20 |
| 30.68 | 75 |
| 32.13 | 21 |
| 41.21 | 18 |
| 43.31 | 16 |
| 43.45 | 14 |
| 44.55 | 21 |
| 52.71 | 14 |
| 53.72 | 22 |

Cell and atoms:
Cell lengths 7.116, 7.116, 21.187 Å; angles 90.00, 90.00, 146.78 degrees
Fractional coordinates of all 22 atoms:
1 Pr 0.000 0.000 0.000
2 Pr 0.000 0.000 0.500
3 Pr 0.171 0.829 0.750
4 Pr 0.274 0.726 0.082
5 Pr 0.274 0.726 0.418
6 Pr 0.452 0.548 0.662
7 Pr 0.452 0.548 0.838
8 Pr 0.548 0.452 0.162
9 Pr 0.548 0.452 0.338
10 Pr 0.726 0.274 0.582
11 Pr 0.726 0.274 0.918
12 Pr 0.829 0.171 0.250
13 Au 0.160 0.840 0.250
14 Au 0.840 0.160 0.750
15 S 0.091 0.909 0.624
16 S 0.091 0.909 0.876
17 S 0.363 0.637 0.540
18 S 0.363 0.637 0.960
19 S 0.637 0.363 0.040
20 S 0.637 0.363 0.460
21 S 0.909 0.091 0.124
22 S 0.909 0.091 0.376

---

The following is a simulated powder X-ray diffraction pattern of AcBi4Pd4. It was derived from DFT lattice parameters and positions (PBE), using Cu Kα, 1.54184 Å.

The 10 most intense peaks (5 to 70 degrees two-theta), sorted by position:
| 2theta | Rel. int. |
| --- | --- |
| 27.41 | 100 |
| 28.09 | 44 |
| 37.48 | 34 |
| 38.01 | 12 |
| 38.12 | 31 |
| 40.15 | 16 |
| 41.72 | 56 |
| 48.02 | 21 |
| 52.77 | 18 |
| 54.88 | 16 |

Cell and atoms:
Cell lengths 7.485, 7.485, 7.485 Å; angles 95.71, 95.71, 143.23 degrees
Fractional coordinates of all 9 atoms:
1 Ac 0.000 0.000 0.000
2 Bi 0.154 0.659 0.813
3 Bi 0.341 0.154 0.494
4 Bi 0.659 0.846 0.506
5 Bi 0.846 0.341 0.187
6 Pd 0.303 0.428 0.731
7 Pd 0.428 0.697 0.126
8 Pd 0.572 0.303 0.874
9 Pd 0.697 0.572 0.269

---

The following is a simulated powder X-ray diffraction pattern of Ac2W3N8. It was derived from DFT lattice parameters and positions (PBE), using Cu Kα, 1.54184 Å.

The 10 most intense peaks (5 to 70 degrees two-theta), sorted by position:
| 2theta | Rel. int. |
| --- | --- |
| 26.10 | 67 |
| 27.73 | 100 |
| 31.19 | 42 |
| 31.92 | 40 |
| 33.32 | 46 |
| 34.30 | 30 |
| 41.36 | 21 |
| 49.04 | 27 |
| 50.82 | 29 |
| 57.33 | 21 |

Cell and atoms:
Cell lengths 6.919, 6.919, 5.246 Å; angles 108.16, 108.16, 55.36 degrees
Fractional coordinates of all 13 atoms:
1 Ac 0.228 0.228 0.166
2 Ac 0.772 0.772 0.834
3 W 0.228 0.772 0.500
4 W 0.500 0.500 0.000
5 W 0.772 0.228 0.500
6 N 0.099 0.099 0.461
7 N 0.188 0.616 0.112
8 N 0.384 0.812 0.888
9 N 0.403 0.403 0.599
10 N 0.597 0.597 0.401
11 N 0.616 0.188 0.112
12 N 0.812 0.384 0.888
13 N 0.901 0.901 0.539

---

The following is a simulated powder X-ray diffraction pattern of CaHg3Pd2. It was derived from DFT lattice parameters and positions (PBE), using Cu Kα, 1.54184 Å.

The 10 most intense peaks (5 to 70 degrees two-theta), sorted by position:
| 2theta | Rel. int. |
| --- | --- |
| 19.94 | 33 |
| 28.23 | 40 |
| 34.52 | 26 |
| 34.80 | 100 |
| 38.46 | 38 |
| 39.07 | 78 |
| 42.15 | 40 |
| 42.60 | 21 |
| 58.38 | 23 |
| 65.50 | 25 |

Cell and atoms:
Cell lengths 8.586, 8.586, 8.586 Å; angles 151.08, 117.52, 70.28 degrees
Fractional coordinates of all 12 atoms:
1 Ca 0.133 0.133 0.000
2 Ca 0.867 0.867 0.000
3 Hg 0.113 0.324 0.789
4 Hg 0.342 0.000 0.342
5 Hg 0.466 0.676 0.789
6 Hg 0.534 0.324 0.211
7 Hg 0.658 0.000 0.658
8 Hg 0.887 0.676 0.211
9 Pd 0.147 0.500 0.647
10 Pd 0.304 0.804 0.500
11 Pd 0.696 0.196 0.500
12 Pd 0.853 0.500 0.353